# 1
# Al8SiRh2
Calculated PXRD pattern, copper Kα. Input: a cell relaxed with GGA-PBE.

Largest 12 diffraction maxima, sorted by position, 10 to 90 degrees two-theta:
(0 1 0), 18.5°, intensity 35
(1 0 0), 19.7°, intensity 26
(1 -1 0), 25.6°, intensity 62
(0 1 2), 25.8°, intensity 51
(1 0 2), 26.6°, intensity 37
(0 2 1), 35.2°, intensity 20
(2 0 1), 37.8°, intensity 39
(0 0 3), 38.2°, intensity 32
(1 -2 0), 40.7°, intensity 33
(1 2 0), 44.7°, intensity 100
(-2 1 1), 46.3°, intensity 39
(1 -1 3), 46.6°, intensity 39

Cell and atoms:
Cell: 4.7629 5.0957 7.8720 Å, 71.16 72.50 89.94°
Space group P-1 (No. 2)
Inequivalent atoms, fractional coordinates:
Al (0.1008, 0.1007, 0.2992) x2
Al (0.2496, 0.5556, 0.4998) x2
Al (0.3120, 0.0678, 0.8691) x2
Al (0.3197, 0.5644, 0.8677) x2
Si (0.5000, 0.0000, 0.5000) x1
Rh (0.1563, 0.6568, 0.1860) x2

***

# 2
# NiPt4Rh6
Calculated PXRD pattern, copper Kα. Input: a cell relaxed with GGA-PBE.

Largest 12 diffraction maxima, sorted by position, 10 to 90 degrees two-theta:
(0 2 5), 33.4°, intensity 21
(0 2 6), 36.5°, intensity 23
(1 1 7), 38.6°, intensity 30
(2 0 0), 39.0°, intensity 89
(0 2 7), 40.0°, intensity 58
(1 1 8), 42.4°, intensity 100
(1 3 1), 43.1°, intensity 71
(1 3 2), 43.8°, intensity 36
(1 1 9), 46.4°, intensity 18
(2 2 7), 57.1°, intensity 39
(3 1 8), 73.0°, intensity 20
(1 5 5), 73.4°, intensity 21

Cell and atoms:
Cell: 4.6210 7.1153 20.4180 Å, 90.00 90.00 90.00°
Space group Cmcm (No. 63)
Inequivalent atoms, fractional coordinates:
Ni (0.0000, 0.2402, 0.2500) x4
Pt (0.0000, 0.0703, 0.6281) x8
Pt (0.0000, 0.3605, 0.5441) x8
Rh (0.0000, 0.0000, 0.0000) x4
Rh (0.0000, 0.1128, 0.7500) x4
Rh (0.0000, 0.2830, 0.0930) x8
Rh (0.0000, 0.4341, 0.6843) x8

***

# 3
# ScAg5
Calculated PXRD pattern, copper Kα. Input: a cell relaxed with GGA-PBE.

Largest 12 diffraction maxima, sorted by position, 10 to 90 degrees two-theta:
(1 0 0), 20.1°, intensity 5
(1 0 1), 27.2°, intensity 4
(1 1 0), 35.2°, intensity 25
(0 0 2), 36.6°, intensity 28
(1 1 1), 39.8°, intensity 100
(1 1 2), 51.7°, intensity 16
(3 0 0), 63.2°, intensity 16
(1 1 3), 68.1°, intensity 19
(3 0 2), 75.3°, intensity 19
(2 2 1), 77.3°, intensity 13
(2 2 2), 85.9°, intensity 3
(1 1 4), 88.5°, intensity 3

Cell and atoms:
Cell: 5.0999 5.0999 4.9040 Å, 90.00 90.00 120.00°
Space group P-62m (No. 189)
Inequivalent atoms, fractional coordinates:
Sc (0.0000, 0.0000, 0.0000) x1
Ag (0.0000, 0.6652, 0.5000) x3
Ag (0.3333, 0.6667, 0.0000) x2

***

# 4
# Cs2LiOsF6
Calculated PXRD pattern, copper Kα. Input: a cell relaxed with GGA-PBE.

Largest 12 diffraction maxima, sorted by position, 10 to 90 degrees two-theta:
(1 0 1), 17.6°, intensity 47
(2 0 0), 29.0°, intensity 100
(1 0 3), 34.0°, intensity 8
(2 1 1), 34.2°, intensity 16
(0 0 4), 41.3°, intensity 12
(2 2 0), 41.5°, intensity 24
(3 0 1), 45.4°, intensity 10
(2 0 4), 51.3°, intensity 14
(3 1 2), 51.4°, intensity 28
(2 2 4), 60.0°, intensity 15
(4 2 0), 68.1°, intensity 12
(5 1 2), 83.0°, intensity 15

Cell and atoms:
Cell: 6.1532 6.1532 8.7404 Å, 90.00 90.00 90.00°
Space group I4/mmm (No. 139)
Inequivalent atoms, fractional coordinates:
Cs (0.0000, 0.5000, 0.2500) x4
Li (0.0000, 0.0000, 0.0000) x2
Os (0.0000, 0.0000, 0.5000) x2
F (0.0000, 0.0000, 0.2628) x4
F (0.2384, 0.2384, 0.5000) x8

***

# 5
# TmGe3Ir3
Calculated PXRD pattern, copper Kα. Input: a cell relaxed with GGA-PBE.

Largest 12 diffraction maxima, sorted by position, 10 to 90 degrees two-theta:
(0 0 3), 13.1°, intensity 31
(1 0 1), 15.5°, intensity 89
(2 -1 3), 29.1°, intensity 100
(1 1 6), 37.3°, intensity 70
(0 0 9), 39.9°, intensity 55
(3 -2 2), 41.1°, intensity 86
(3 -1 4), 44.0°, intensity 68
(3 0 0), 45.7°, intensity 21
(1 2 5), 46.1°, intensity 51
(2 1 7), 51.4°, intensity 32
(3 -2 11), 65.4°, intensity 26
(0 4 8), 73.8°, intensity 29

Cell and atoms:
Cell: 6.8740 6.8740 20.3212 Å, 90.00 90.00 120.00°
Space group R-3 (No. 148, hexagonal axes)
Inequivalent atoms, fractional coordinates:
Tm (0.0000, 0.0000, 0.1723) x6
Ge (0.0303, 0.4235, 0.0641) x18
Ir (0.0129, 0.2513, 0.9427) x18

***

# 6
# BeB2Pt8
Calculated PXRD pattern, copper Kα. Input: a cell relaxed with GGA-PBE.

Largest 12 diffraction maxima, sorted by position, 10 to 90 degrees two-theta:
(2 0 2), 31.9°, intensity 41
(3 1 -1), 37.3°, intensity 100
(6 0 -2), 39.7°, intensity 39
(8 0 0), 43.1°, intensity 45
(5 1 1), 45.6°, intensity 40
(3 1 2), 47.6°, intensity 18
(1 1 -3), 53.9°, intensity 15
(8 0 3), 67.9°, intensity 19
(11 1 -1), 69.5°, intensity 15
(9 1 -3), 70.5°, intensity 13
(2 0 5), 78.6°, intensity 17
(8 2 0), 81.8°, intensity 14

Cell and atoms:
Cell: 16.9762 2.8442 6.3675 Å, 90.00 98.85 90.00°
Space group C2/m (No. 12)
Inequivalent atoms, fractional coordinates:
Be (0.0000, 0.0000, 0.0000) x2
B (0.1998, 0.5000, 0.2798) x4
Pt (0.0606, 0.0000, 0.6732) x4
Pt (0.0723, 0.5000, 0.2607) x4
Pt (0.1753, 0.0000, 0.0236) x4
Pt (0.1990, 0.5000, 0.6221) x4

***

# 7
# Ge3OsF
Calculated PXRD pattern, copper Kα. Input: a cell relaxed with GGA-PBE.

Largest 12 diffraction maxima, sorted by position, 10 to 90 degrees two-theta:
(1 0 0), 18.6°, intensity 100
(1 1 0), 26.4°, intensity 25
(2 0 0), 37.7°, intensity 55
(2 1 0), 42.4°, intensity 50
(2 1 1), 46.7°, intensity 11
(2 2 0), 54.4°, intensity 38
(3 0 0), 58.0°, intensity 25
(2 2 2), 68.1°, intensity 13
(3 2 0), 71.3°, intensity 11
(3 2 1), 74.4°, intensity 5
(4 0 0), 80.6°, intensity 6
(4 1 0), 83.6°, intensity 15

Cell and atoms:
Cell: 4.7683 4.7683 4.7683 Å, 90.00 90.00 90.00°
Space group Pm-3m (No. 221)
Inequivalent atoms, fractional coordinates:
Ge (0.0000, 0.0000, 0.5000) x3
Os (0.0000, 0.0000, 0.0000) x1
F (0.5000, 0.5000, 0.5000) x1

***

# 8
# CdFe2Cu
Calculated PXRD pattern, copper Kα. Input: a cell relaxed with GGA-PBE.

Largest 12 diffraction maxima, sorted by position, 10 to 90 degrees two-theta:
(1 0 1), 26.4°, intensity 7
(1 1 2), 40.9°, intensity 100
(0 0 4), 45.0°, intensity 19
(0 2 0), 48.8°, intensity 15
(2 0 0), 49.0°, intensity 14
(0 2 4), 68.5°, intensity 10
(2 0 4), 68.7°, intensity 10
(2 2 0), 71.6°, intensity 9
(1 1 6), 80.2°, intensity 12
(1 3 2), 85.8°, intensity 10
(3 1 2), 86.1°, intensity 10
(2 2 4), 88.7°, intensity 10

Cell and atoms:
Cell: 3.7181 3.7339 8.0606 Å, 90.00 90.00 90.00°
Space group Immm (No. 71)
Inequivalent atoms, fractional coordinates:
Cd (0.0000, 0.0000, 0.0000) x2
Fe (0.0000, 0.5000, 0.2498) x4
Cu (0.0000, 0.0000, 0.5000) x2

***

# 9
# Na3TcF8
Calculated PXRD pattern, copper Kα. Input: a cell relaxed with GGA-PBE.

Largest 12 diffraction maxima, sorted by position, 10 to 90 degrees two-theta:
(1 0 0), 16.7°, intensity 100
(1 1 0), 23.7°, intensity 51
(1 1 1), 29.1°, intensity 94
(2 1 0), 37.9°, intensity 11
(2 1 1), 41.7°, intensity 17
(2 2 0), 48.5°, intensity 98
(2 2 1), 51.6°, intensity 17
(3 1 1), 57.6°, intensity 36
(3 2 0), 63.1°, intensity 19
(3 2 1), 65.8°, intensity 13
(4 0 0), 71.0°, intensity 11
(3 3 1), 78.5°, intensity 15

Cell and atoms:
Cell: 5.3112 5.3112 5.3112 Å, 90.00 90.00 90.00°
Space group Pm-3m (No. 221)
Inequivalent atoms, fractional coordinates:
Na (0.0000, 0.0000, 0.5000) x3
Tc (0.5000, 0.5000, 0.5000) x1
F (0.2783, 0.2783, 0.2783) x8

***

# 10
# CaPu4O12
Calculated PXRD pattern, copper Kα. Input: a cell relaxed with GGA-PBE.

Largest 12 diffraction maxima, sorted by position, 10 to 90 degrees two-theta:
(2 0 0), 21.5°, intensity 100
(0 0 2), 22.0°, intensity 45
(2 2 0), 30.7°, intensity 37
(2 0 2), 31.0°, intensity 76
(2 2 2), 38.1°, intensity 29
(4 0 0), 43.9°, intensity 23
(4 2 0), 49.4°, intensity 22
(4 0 2), 49.6°, intensity 23
(2 0 4), 50.3°, intensity 22
(4 2 2), 54.7°, intensity 34
(2 2 4), 55.4°, intensity 18
(4 2 4), 69.0°, intensity 16

Cell and atoms:
Cell: 8.2481 8.2481 8.0725 Å, 90.00 90.00 90.00°
Space group I4/mmm (No. 139)
Inequivalent atoms, fractional coordinates:
Ca (0.0000, 0.0000, 0.0000) x2
Pu (0.2500, 0.2500, 0.2500) x8
O (0.0000, 0.2402, 0.1954) x16
O (0.2112, 0.2112, 0.5000) x8

***

# 11
# Li4Pr3Al2
Calculated PXRD pattern, copper Kα. Input: a cell relaxed with GGA-PBE.

Largest 12 diffraction maxima, sorted by position, 10 to 90 degrees two-theta:
(1 0 1), 22.8°, intensity 100
(0 1 2), 28.2°, intensity 62
(1 0 3), 35.5°, intensity 44
(1 1 0), 36.2°, intensity 55
(0 2 1), 43.2°, intensity 19
(0 1 4), 44.0°, intensity 17
(2 0 2), 46.5°, intensity 16
(0 2 3), 51.6°, intensity 15
(2 1 1), 57.6°, intensity 16
(1 2 2), 60.3°, intensity 14
(1 1 5), 62.0°, intensity 19
(2 1 3), 64.7°, intensity 15

Cell and atoms:
Cell: 4.9640 4.9640 9.3773 Å, 90.00 90.00 120.00°
Space group P-3m1 (No. 164)
Inequivalent atoms, fractional coordinates:
Li (0.0000, 0.0000, 0.1770) x2
Li (0.3333, 0.6667, 0.4093) x2
Pr (0.0000, 0.0000, 0.5000) x1
Pr (0.3333, 0.6667, 0.0989) x2
Al (0.3333, 0.6667, 0.7150) x2

***

# 12
# PmPr4Sm6
Calculated PXRD pattern, copper Kα. Input: a cell relaxed with GGA-PBE.

Largest 12 diffraction maxima, sorted by position, 10 to 90 degrees two-theta:
(1 1 4), 27.9°, intensity 49
(2 0 2), 28.2°, intensity 64
(1 0 5), 29.3°, intensity 33
(2 1 1), 29.8°, intensity 100
(2 0 4), 33.7°, intensity 70
(1 1 6), 36.7°, intensity 30
(2 2 0), 37.4°, intensity 30
(2 1 5), 39.7°, intensity 29
(2 2 6), 49.6°, intensity 21
(3 2 5), 55.6°, intensity 21
(4 1 1), 56.0°, intensity 29
(1 1 10), 57.3°, intensity 24

Cell and atoms:
Cell: 6.8046 6.8046 17.0672 Å, 90.00 90.00 90.00°
Space group I-42m (No. 121)
Inequivalent atoms, fractional coordinates:
Pm (0.0000, 0.0000, 0.0000) x2
Pr (0.1905, 0.1905, 0.8229) x8
Sm (0.0000, 0.5000, 0.0000) x4
Sm (0.1753, 0.1753, 0.6218) x8